No. 1
GdTm: simulated X-ray diffraction stick pattern (Cu Kα), based on a cell relaxed with GGA-PBE.

Most intense lines, 10 to 90 degrees two-theta, by angle:
2θ (°), intensity, (hkl)
31.0, 100, 1 0 2
35.8, 17, 0 0 4
36.0, 34, 1 1 0
51.7, 24, 1 1 4
61.4, 14, 1 0 6
61.6, 28, 2 1 2

Structure:
```
GdTm
1.0
3.530 0.000 0.000
0.000 3.530 0.000
0.000 0.000 10.030
Gd Tm
2 2
Cartesian
0.883 0.883 1.293
2.648 2.648 8.737
0.883 0.883 6.225
2.648 2.648 3.804
```

=====

No. 2
Rb2GaHg12: simulated X-ray diffraction stick pattern (Cu Kα), based on a cell relaxed with GGA-PBE.

Most intense lines, 10 to 90 degrees two-theta, by angle:
2θ (°), intensity, (hkl)
26.6, 97, 2 0 2
31.4, 36, 2 1 3
34.0, 75, 1 1 6
34.9, 40, 2 0 5
35.4, 78, 2 2 0
38.5, 100, 2 0 6

Structure:
```
Rb2GaHg12
1.0
7.181 0.000 0.000
0.000 7.181 0.000
0.000 0.000 18.454
Rb Ga Hg
4 2 24
Cartesian
1.795 5.386 4.538
1.795 5.386 13.917
5.386 1.795 4.538
5.386 1.795 13.917
1.795 5.386 0.000
5.386 1.795 0.000
0.006 3.597 1.582
0.006 7.175 16.873
0.663 4.254 10.454
0.663 6.518 8.001
1.795 1.795 3.351
1.795 1.795 6.436
1.795 1.795 12.019
1.795 1.795 15.104
2.927 4.254 8.001
2.927 6.518 10.454
3.584 3.597 16.873
3.584 7.175 1.582
3.597 0.006 16.873
3.597 3.584 1.582
4.254 0.663 8.001
4.254 2.927 10.454
5.386 5.386 3.351
5.386 5.386 6.436
5.386 5.386 12.019
5.386 5.386 15.104
6.518 0.663 10.454
6.518 2.927 8.001
7.175 0.006 1.582
7.175 3.584 16.873
```